No. 1
Cu2SiPbS4: theoretical XRD peak list (Cu Kα X-rays), based on a cell relaxed with GGA-PBE.
No peak broadening, texture or thermal motion is included.

Atomic structure:
```
data_Cu2SiPbS4
_cell_length_a 6.0801
_cell_length_b 6.0801
_cell_length_c 15.2011
_cell_angle_alpha 90.00
_cell_angle_beta 90.00
_cell_angle_gamma 120.00
_symmetry_space_group_name_H-M 'P 32 2 1'
_symmetry_Int_Tables_number 154
loop_
_symmetry_equiv_pos_as_xyz
'x,y,z'
'-y,x-y,z+2/3'
'-x+y,-x,z+1/3'
'y,x,-z'
'x-y,-y,-z+1/3'
'-x,-x+y,-z+2/3'
loop_
_atom_site_label
_atom_site_fract_x
_atom_site_fract_y
_atom_site_fract_z
Cu1 0.0911 0.6637 0.0904
Si1 0.0000 0.7221 0.8333
Pb1 0.0000 0.5293 0.3333
S1 0.0265 0.5215 0.7217
S2 0.0967 0.3271 0.1645
```

Largest 10 diffraction maxima, in order of rising 2θ, 2θ = 15–90°:
16.8°, I = 34; 17.8°, I = 56; 24.4°, I = 33; 29.0°, I = 64; 29.4°, I = 43; 30.0°, I = 29; 31.7°, I = 31; 34.1°, I = 100; 38.5°, I = 62; 55.2°, I = 29


No. 2
BaSi6: theoretical XRD peak list (Cu Kα X-rays), based on a cell relaxed with GGA-PBE.
No peak broadening, texture or thermal motion is included.

Atomic structure:
```
data_BaSi6
_cell_length_a 4.5042
_cell_length_b 10.4764
_cell_length_c 12.0079
_cell_angle_alpha 90.00
_cell_angle_beta 90.00
_cell_angle_gamma 90.00
_symmetry_space_group_name_H-M 'C m c m'
_symmetry_Int_Tables_number 63
_symmetry_space_group_name_Hall '-C 2c 2'
loop_
_atom_site_label
_atom_site_fract_x
_atom_site_fract_y
_atom_site_fract_z
Ba1 0.0000 0.2205 0.2500
Si1 0.0000 0.0624 0.6470
Si2 0.0000 0.2547 0.5370
Si3 0.0000 0.4785 0.5978
```

Largest 10 diffraction maxima, in order of rising 2θ, 2θ = 15–90°:
16.9°, I = 21; 22.5°, I = 20; 22.7°, I = 56; 31.1°, I = 100; 33.3°, I = 59; 34.2°, I = 24; 34.4°, I = 63; 40.0°, I = 34; 53.4°, I = 18; 53.8°, I = 34


No. 3
MnNi2N2: theoretical XRD peak list (Cu Kα X-rays), based on a cell relaxed with GGA-PBE.
No peak broadening, texture or thermal motion is included.

Atomic structure:
```
data_MnNi2N2
_cell_length_a 2.7437
_cell_length_b 2.7437
_cell_length_c 6.7909
_cell_angle_alpha 90.00
_cell_angle_beta 90.00
_cell_angle_gamma 120.00
_symmetry_space_group_name_H-M 'P -3 m 1'
_symmetry_Int_Tables_number 164
_symmetry_space_group_name_Hall '-P 3 2"'
loop_
_atom_site_label
_atom_site_fract_x
_atom_site_fract_y
_atom_site_fract_z
Mn1 0.0000 0.0000 0.0000
Ni1 0.3333 0.6667 0.3481
N1 0.3333 0.6667 0.8198
```

Largest 10 diffraction maxima, in order of rising 2θ, 2θ = 15–90°:
39.8°, I = 29; 40.2°, I = 91; 46.7°, I = 100; 67.8°, I = 26; 68.4°, I = 28; 81.7°, I = 10; 82.2°, I = 20; 82.4°, I = 10; 85.9°, I = 4; 86.9°, I = 14


No. 4
KNaP6Pb8O24: theoretical XRD peak list (Cu Kα X-rays), based on a cell relaxed with GGA-PBE.
No peak broadening, texture or thermal motion is included.

Atomic structure:
```
data_KNaP6Pb8O24
_cell_length_a 9.9525
_cell_length_b 9.9525
_cell_length_c 7.3509
_cell_angle_alpha 90.00
_cell_angle_beta 90.00
_cell_angle_gamma 120.00
_symmetry_space_group_name_H-M 'P 3'
_symmetry_Int_Tables_number 143
loop_
_symmetry_equiv_pos_as_xyz
'x,y,z'
'-y,x-y,z'
'-x+y,-x,z'
loop_
_atom_site_label
_atom_site_fract_x
_atom_site_fract_y
_atom_site_fract_z
K1 0.0000 0.0000 0.0000
Na1 0.3333 0.6667 0.4844
P1 0.0428 0.7268 0.2416
P2 0.0626 0.3564 0.7350
Pb1 0.0000 0.0000 0.5032
Pb2 0.3333 0.6667 0.0027
Pb3 0.4067 0.3346 0.7402
Pb4 0.4079 0.0733 0.2433
O1 0.0110 0.4177 0.5696
O2 0.0165 0.4151 0.9085
O3 0.0916 0.2390 0.2444
O4 0.1461 0.6514 0.2440
O5 0.1915 0.0135 0.7309
O6 0.1907 0.7556 0.7348
O7 0.3188 0.2522 0.4110
O8 0.3238 0.2577 0.0729
```

Largest 10 diffraction maxima, in order of rising 2θ, 2θ = 15–90°:
15.8°, I = 25; 20.6°, I = 24; 21.6°, I = 55; 27.4°, I = 26; 30.0°, I = 100; 30.2°, I = 60; 31.1°, I = 41; 46.4°, I = 33; 47.6°, I = 33; 49.0°, I = 32


No. 5
Ba3Y2I12: theoretical XRD peak list (Cu Kα X-rays), based on a cell relaxed with GGA-PBE.
No peak broadening, texture or thermal motion is included.

Atomic structure:
```
data_Ba3Y2I12
_cell_length_a 13.3184
_cell_length_b 13.3184
_cell_length_c 8.0132
_cell_angle_alpha 90.00
_cell_angle_beta 90.00
_cell_angle_gamma 90.00
_symmetry_space_group_name_H-M 'P 4/m b m'
_symmetry_Int_Tables_number 127
_symmetry_space_group_name_Hall '-P 4 2ab'
loop_
_atom_site_label
_atom_site_fract_x
_atom_site_fract_y
_atom_site_fract_z
Ba1 0.0000 0.0000 0.0000
Ba2 0.1818 0.3182 0.5000
Y1 0.1366 0.6366 0.0000
I1 0.0000 0.5000 0.2395
I2 0.0521 0.7857 0.2643
I3 0.2002 0.2998 0.0000
```

Largest 10 diffraction maxima, in order of rising 2θ, 2θ = 15–90°:
26.0°, I = 22; 26.8°, I = 53; 27.6°, I = 90; 28.4°, I = 40; 29.3°, I = 56; 30.8°, I = 100; 33.0°, I = 46; 45.3°, I = 22; 47.3°, I = 23; 53.8°, I = 46